(1)
Starting from a GGA-PBE-relaxed structure, the X-ray powder pattern of SmEuSe2 was simulated for Cu Kα.
Peak positions follow from Bragg's law for the DFT cell and can differ from measured ones.

Largest 10 diffraction maxima, low angle first, 15 to 90 degrees two-theta:
Position (°2θ), d_spacing, I_rel, (hkl)
25.9, 3.444, 13, 0 1 2
29.9, 2.990, 100, 1 0 4
42.6, 2.122, 38, 0 1 8
42.9, 2.106, 37, 1 1 0
52.6, 1.740, 7, 0 0 12
53.2, 1.722, 20, 0 2 4
62.1, 1.495, 12, 2 0 8
70.2, 1.341, 17, 1 1 12
70.7, 1.333, 17, 2 1 4
78.4, 1.219, 13, 1 2 8

Structural model:
abc: 4.2127 4.2127 20.8757
angles: 90.00 90.00 120.00
Space group R-3m (No. 166, hexagonal axes)
One atom of each set of equivalent atoms:
Sm1 0.0000 0.0000 0.0000 x3
Eu1 0.0000 0.0000 0.5000 x3
Se1 0.0000 0.0000 0.2522 x6

(2)
Starting from a GGA-PBE-relaxed structure, the X-ray powder pattern of Eu2SnSe5 was simulated for Cu Kα.
Peak positions follow from Bragg's law for the DFT cell and can differ from measured ones.

Largest 10 diffraction maxima, low angle first, 15 to 90 degrees two-theta:
Position (°2θ), d_spacing, I_rel, (hkl)
24.7, 3.603, 32, 1 3 0
25.2, 3.539, 23, 1 1 1
31.5, 2.837, 100, 2 1 1
31.7, 2.824, 45, 1 4 0
32.9, 2.721, 51, 1 3 1
34.1, 2.626, 77, 2 2 1
36.0, 2.492, 27, 3 2 0
36.9, 2.435, 33, 0 4 1
43.6, 2.075, 43, 0 0 2
44.9, 2.018, 26, 1 5 1

Structural model:
abc: 8.214 12.030 4.149
angles: 90.00 90.00 90.00
Space group Pbam (No. 55)
One atom of each set of equivalent atoms:
Eu1 0.078 0.172 0.000 x4
Sn1 0.000 0.500 0.500 x2
Se1 0.000 0.000 0.500 x2
Se2 0.142 0.704 0.500 x4
Se3 0.199 0.428 0.000 x4

(3)
Starting from a GGA-PBE-relaxed structure, the X-ray powder pattern of SrEu4Se5 was simulated for Cu Kα.
Peak positions follow from Bragg's law for the DFT cell and can differ from measured ones.

Largest 10 diffraction maxima, low angle first, 15 to 90 degrees two-theta:
Position (°2θ), d_spacing, I_rel, (hkl)
24.9, 3.578, 14, 1 1 1
28.8, 3.099, 100, 2 0 2
41.2, 2.191, 76, 5 1 0
48.7, 1.869, 7, 6 0 1
51.0, 1.789, 14, 8 0 -2
51.1, 1.789, 13, 2 2 2
59.7, 1.549, 13, 4 0 4
67.6, 1.386, 29, 7 1 2
75.1, 1.265, 26, 10 0 0
89.4, 1.096, 9, 10 2 0

Structural model:
abc: 14.537 4.381 10.737
angles: 90.00 119.49 90.00
Space group C2/m (No. 12)
One atom of each set of equivalent atoms:
Sr1 0.000 0.000 0.000 x2
Eu1 0.100 0.500 0.400 x4
Eu2 0.200 0.000 0.800 x4
Se1 0.000 0.000 0.500 x2
Se2 0.101 0.500 0.899 x4
Se3 0.201 0.000 0.301 x4

(4)
Starting from a GGA-PBE-relaxed structure, the X-ray powder pattern of Eu2Zr5Se10 was simulated for Cu Kα.
Peak positions follow from Bragg's law for the DFT cell and can differ from measured ones.

Largest 10 diffraction maxima, low angle first, 15 to 90 degrees two-theta:
Position (°2θ), d_spacing, I_rel, (hkl)
15.1, 5.853, 16, 1 1 1
16.0, 5.524, 15, 1 1 0
29.8, 3.002, 60, 1 0 3
29.9, 2.987, 30, 2 2 1
36.5, 2.462, 100, 1 -1 3
36.6, 2.453, 50, 2 3 1
45.8, 1.979, 20, 1 4 3
47.9, 1.898, 20, 0 1 5
48.2, 1.886, 40, 3 2 4
48.9, 1.862, 15, 0 4 0

Structural model:
abc: 6.521 8.343 10.029
angles: 70.12 71.11 67.05
Space group P-1 (No. 2)
One atom of each set of equivalent atoms:
Eu1 0.105 0.000 0.288 x2
Zr1 0.102 0.498 0.802 x2
Zr2 0.309 0.500 0.399 x2
Zr3 0.500 0.500 0.000 x1
Se1 0.055 0.276 0.445 x2
Se2 0.145 0.721 0.152 x2
Se3 0.261 0.277 0.041 x2
Se4 0.349 0.722 0.756 x2
Se5 0.451 0.274 0.644 x2

(5)
Starting from a GGA-PBE-relaxed structure, the X-ray powder pattern of Eu5Si3 was simulated for Cu Kα.
Peak positions follow from Bragg's law for the DFT cell and can differ from measured ones.

Largest 10 diffraction maxima, low angle first, 15 to 90 degrees two-theta:
Position (°2θ), d_spacing, I_rel, (hkl)
25.8, 3.459, 22, 2 0 2
26.2, 3.397, 43, 2 1 1
31.3, 2.859, 100, 2 1 3
32.5, 2.758, 21, 2 2 0
33.2, 2.701, 62, 2 0 4
36.4, 2.466, 38, 3 1 0
50.0, 1.824, 22, 2 1 7
51.7, 1.769, 29, 4 1 3
55.7, 1.650, 24, 3 3 4
65.9, 1.417, 29, 4 1 7

Structural model:
abc: 7.800 7.800 14.977
angles: 90.00 90.00 90.00
Space group I4/mcm (No. 140)
One atom of each set of equivalent atoms:
Eu1 0.000 0.000 0.000 x4
Eu2 0.178 0.322 0.145 x16
Si1 0.000 0.000 0.250 x4
Si2 0.110 0.390 0.500 x8

(6)
Starting from a GGA-PBE-relaxed structure, the X-ray powder pattern of EuZnSi was simulated for Cu Kα.
Peak positions follow from Bragg's law for the DFT cell and can differ from measured ones.

Largest 10 diffraction maxima, low angle first, 15 to 90 degrees two-theta:
Position (°2θ), d_spacing, I_rel, (hkl)
24.1, 3.699, 26, 1 0 0
32.2, 2.781, 100, 1 0 2
42.3, 2.136, 36, 1 1 0
42.9, 2.109, 12, 0 0 4
49.8, 1.832, 8, 1 0 4
54.1, 1.694, 22, 2 0 2
61.8, 1.501, 23, 1 1 4
71.0, 1.327, 20, 2 1 2
71.8, 1.314, 10, 1 0 6
77.4, 1.233, 6, 3 0 0

Structural model:
abc: 4.2717 4.2717 8.4353
angles: 90.00 90.00 120.00
Space group P6_3/mmc (No. 194)
One atom of each set of equivalent atoms:
Eu1 0.0000 0.0000 0.0000 x2
Zn1 0.3333 0.6667 0.2500 x2
Si1 0.3333 0.6667 0.7500 x2

(7)
Starting from a GGA-PBE-relaxed structure, the X-ray powder pattern of Eu3Sn5 was simulated for Cu Kα.
Peak positions follow from Bragg's law for the DFT cell and can differ from measured ones.

Largest 10 diffraction maxima, low angle first, 15 to 90 degrees two-theta:
Position (°2θ), d_spacing, I_rel, (hkl)
28.4, 3.140, 28, 2 2 1
31.9, 2.802, 100, 2 2 2
32.7, 2.740, 60, 1 3 0
33.5, 2.677, 36, 0 0 4
34.7, 2.585, 24, 4 0 0
37.2, 2.418, 24, 2 2 3
37.8, 2.380, 25, 3 1 3
54.9, 1.672, 17, 5 3 0
63.3, 1.469, 19, 3 5 2
65.9, 1.418, 14, 5 3 4

Structural model:
abc: 10.340 8.520 10.707
angles: 90.00 90.00 90.00
Space group Cmcm (No. 63)
One atom of each set of equivalent atoms:
Eu1 0.000 0.128 0.250 x4
Eu2 0.203 0.500 0.000 x8
Sn1 0.000 0.191 0.550 x8
Sn2 0.000 0.473 0.750 x4
Sn3 0.211 0.215 0.750 x8

(8)
Starting from a GGA-PBE-relaxed structure, the X-ray powder pattern of Eu2Sn was simulated for Cu Kα.
Peak positions follow from Bragg's law for the DFT cell and can differ from measured ones.

Largest 10 diffraction maxima, low angle first, 15 to 90 degrees two-theta:
Position (°2θ), d_spacing, I_rel, (hkl)
26.9, 3.309, 27, 1 1 2
29.1, 3.065, 51, 2 1 0
29.9, 2.993, 38, 2 0 2
30.5, 2.931, 100, 2 1 1
31.3, 2.862, 95, 0 1 3
33.1, 2.708, 58, 0 2 0
45.2, 2.008, 25, 2 2 2
54.6, 1.681, 16, 3 1 4
57.5, 1.603, 17, 2 3 1
57.9, 1.592, 17, 0 3 3

Structural model:
abc: 7.425 5.416 10.114
angles: 90.00 90.00 90.00
Space group Pnma (No. 62)
One atom of each set of equivalent atoms:
Eu1 0.029 0.250 0.204 x4
Eu2 0.185 0.250 0.572 x4
Sn1 0.227 0.250 0.896 x4

Which formula does entry 7 have? Eu3Sn5